[1]
The following is a simulated powder diffractogram of La2AlTe5Pd. It was derived from the PBE geometry in Alexandria, using Cu Kα, 1.54184 Å.
No peak broadening, texture or thermal motion is included.

Structural model:
Lattice parameters (Å, degrees): 4.261 19.983 12.383 90.00 90.00 90.00
Space group Cmc2_1 (No. 36)
Asymmetric unit:
La1 0.000 0.114 0.000 (multiplicity 4)
La2 0.000 0.127 0.381 (multiplicity 4)
Al1 0.000 0.406 0.160 (multiplicity 4)
Te1 0.000 0.039 0.762 (multiplicity 4)
Te2 0.000 0.285 0.033 (multiplicity 4)
Te3 0.000 0.296 0.347 (multiplicity 4)
Te4 0.000 0.358 0.689 (multiplicity 4)
Te5 0.000 0.482 0.982 (multiplicity 4)
Pd1 0.000 0.167 0.667 (multiplicity 4)

Top 10 peaks for 10 to 90 degrees two-theta, sorted by position:
2θ = 25.8°, intensity 17; 2θ = 27.7°, intensity 36; 2θ = 28.8°, intensity 29; 2θ = 30.5°, intensity 100; 2θ = 30.7°, intensity 22; 2θ = 31.5°, intensity 14; 2θ = 34.0°, intensity 60; 2θ = 34.6°, intensity 20; 2θ = 42.4°, intensity 31; 2θ = 51.4°, intensity 16

=====

[2]
The following is a simulated powder diffractogram of Zn3Ag7Sn. It was derived from the PBE geometry in Alexandria, using Cu Kα, 1.54184 Å.
No peak broadening, texture or thermal motion is included.

Structural model:
Lattice parameters (Å, degrees): 9.059 9.709 5.394 90.00 116.42 90.00
Space group C2/m (No. 12)
Asymmetric unit:
Zn1 0.000 0.000 0.000 (multiplicity 2)
Zn2 0.000 0.223 0.500 (multiplicity 4)
Ag1 0.000 0.500 0.500 (multiplicity 2)
Ag2 0.178 0.229 0.189 (multiplicity 8)
Ag3 0.183 0.000 0.552 (multiplicity 4)
Sn1 0.000 0.500 0.000 (multiplicity 2)

Top 10 peaks for 10 to 90 degrees two-theta, sorted by position:
2θ = 28.7°, intensity 29; 2θ = 33.7°, intensity 87; 2θ = 34.4°, intensity 36; 2θ = 37.0°, intensity 93; 2θ = 39.4°, intensity 100; 2θ = 41.1°, intensity 26; 2θ = 41.8°, intensity 54; 2θ = 44.1°, intensity 59; 2θ = 47.0°, intensity 25; 2θ = 50.9°, intensity 42

=====

[3]
The following is a simulated powder diffractogram of Sr2Re6S11. It was derived from the PBE geometry in Alexandria, using Cu Kα, 1.54184 Å.
No peak broadening, texture or thermal motion is included.

Structural model:
Lattice parameters (Å, degrees): 9.1875 9.1875 31.7764 90.00 90.00 120.00
Space group R-3c (No. 167, hexagonal axes)
Asymmetric unit:
Sr1 0.0000 0.0000 0.1898 (multiplicity 12)
Re1 0.0287 0.1779 0.4657 (multiplicity 36)
S1 0.0000 0.0000 0.0926 (multiplicity 12)
S2 0.0000 0.2547 0.7500 (multiplicity 18)
S3 0.0053 0.3920 0.1971 (multiplicity 36)

Top 10 peaks for 10 to 90 degrees two-theta, sorted by position:
2θ = 12.4°, intensity 100; 2θ = 15.8°, intensity 47; 2θ = 19.3°, intensity 12; 2θ = 30.3°, intensity 20; 2θ = 33.0°, intensity 13; 2θ = 35.8°, intensity 17; 2θ = 40.2°, intensity 12; 2θ = 41.3°, intensity 28; 2θ = 47.2°, intensity 20; 2θ = 52.1°, intensity 15

=====

[4]
The following is a simulated powder diffractogram of RbBaNi2Br8. It was derived from the PBE geometry in Alexandria, using Cu Kα, 1.54184 Å.
No peak broadening, texture or thermal motion is included.

Structural model:
Lattice parameters (Å, degrees): 6.9794 6.9794 10.6720 90.00 90.00 120.00
Space group P-3 (No. 147)
Asymmetric unit:
Rb1 0.0000 0.0000 0.0000 (multiplicity 1)
Ba1 0.0000 0.0000 0.5000 (multiplicity 1)
Ni1 0.3333 0.6667 0.7632 (multiplicity 2)
Br1 0.9996 0.3520 0.7009 (multiplicity 6)
Br2 0.3333 0.6667 0.9801 (multiplicity 2)

Top 10 peaks for 10 to 90 degrees two-theta, sorted by position:
2θ = 16.9°, intensity 48; 2θ = 22.2°, intensity 44; 2θ = 25.0°, intensity 22; 2θ = 25.5°, intensity 20; 2θ = 26.9°, intensity 100; 2θ = 30.6°, intensity 91; 2θ = 42.7°, intensity 44; 2θ = 45.0°, intensity 63; 2θ = 55.4°, intensity 20; 2θ = 57.3°, intensity 23